# Pm3Cu3Sb4
Simulated powder XRD pattern, Cu Kα. Input: the PBE geometry in Alexandria.

Cell and atoms:
```
data_Pm3Cu3Sb4
_chemical_formula_sum 'Pm12 Cu12 Sb16'
_cell_length_a 9.734
_cell_length_b 9.734
_cell_length_c 9.734
_cell_angle_alpha 90.00
_cell_angle_beta 90.00
_cell_angle_gamma 90.00
_symmetry_space_group_name_H-M 'I -4 3 d'
_symmetry_Int_Tables_number 220
_symmetry_space_group_name_Hall 'I -4bd 2c 3'
loop_
_atom_site_label
_atom_site_type_symbol
_atom_site_fract_x
_atom_site_fract_y
_atom_site_fract_z
Pm1 Pm 0.000 0.250 0.375
Cu1 Cu 0.000 0.250 0.875
Sb1 Sb 0.080 0.080 0.080
```

Main lines, in order of rising 2θ (2θ = 10–90°):
d = 3.078 Å, rel. 51.7, hkl 3 1 0; d = 2.602 Å, rel. 100.0, hkl 3 2 1; d = 2.177 Å, rel. 34.1, hkl 4 2 0; d = 2.075 Å, rel. 10.6, hkl 3 3 2; d = 1.987 Å, rel. 16.8, hkl 4 2 2; d = 1.909 Å, rel. 10.8, hkl 4 3 1; d = 1.579 Å, rel. 17.2, hkl 6 1 1; d = 1.539 Å, rel. 13.3, hkl 6 2 0; d = 1.502 Å, rel. 9.1, hkl 5 4 1; d = 1.325 Å, rel. 13.7, hkl 5 5 2


# La2Ga6CoPt
Simulated powder XRD pattern, Cu Kα. Input: the PBE geometry in Alexandria.

Cell and atoms:
```
data_La2Ga6CoPt
_chemical_formula_sum 'La8 Ga24 Co4 Pt4'
_cell_length_a 9.457
_cell_length_b 9.457
_cell_length_c 9.457
_cell_angle_alpha 90.00
_cell_angle_beta 90.00
_cell_angle_gamma 90.00
_symmetry_space_group_name_H-M 'F m -3 m'
_symmetry_Int_Tables_number 225
_symmetry_space_group_name_Hall '-F 4 2 3'
loop_
_atom_site_label
_atom_site_type_symbol
_atom_site_fract_x
_atom_site_fract_y
_atom_site_fract_z
La1 La 0.250 0.250 0.250
Ga1 Ga 0.000 0.000 0.240
Co1 Co 0.000 0.000 0.000
Pt1 Pt 0.000 0.000 0.500
```

Main lines, in order of rising 2θ (2θ = 10–90°):
d = 3.343 Å, rel. 80.4, hkl 2 2 0; d = 2.851 Å, rel. 13.6, hkl 3 1 1; d = 2.730 Å, rel. 45.2, hkl 2 2 2; d = 2.364 Å, rel. 100.0, hkl 4 0 0; d = 1.930 Å, rel. 33.7, hkl 4 2 2; d = 1.672 Å, rel. 67.4, hkl 4 4 0; d = 1.495 Å, rel. 15.8, hkl 6 2 0; d = 1.426 Å, rel. 16.8, hkl 6 2 2; d = 1.365 Å, rel. 22.3, hkl 4 4 4; d = 1.264 Å, rel. 17.7, hkl 6 4 2


# AcIn3Ni3
Simulated powder XRD pattern, Cu Kα. Input: the PBE geometry in Alexandria.

Cell and atoms:
```
data_AcIn3Ni3
_chemical_formula_sum 'Ac6 In18 Ni18'
_cell_length_a 7.0252
_cell_length_b 7.0252
_cell_length_c 20.2133
_cell_angle_alpha 90.00
_cell_angle_beta 90.00
_cell_angle_gamma 120.00
_symmetry_space_group_name_H-M 'R -3 m'
_symmetry_Int_Tables_number 166
_symmetry_space_group_name_Hall '-R 3 2"'
loop_
_atom_site_label
_atom_site_type_symbol
_atom_site_fract_x
_atom_site_fract_y
_atom_site_fract_z
Ac1 Ac 0.0000 0.0000 0.0928
In1 In 0.0064 0.5032 0.0993
Ni1 Ni 0.0897 0.5449 0.3334
```

Main lines, in order of rising 2θ (2θ = 10–90°):
d = 3.368 Å, rel. 23.8, hkl 0 0 6; d = 3.008 Å, rel. 60.4, hkl 0 2 1; d = 2.606 Å, rel. 73.8, hkl 0 2 4; d = 2.431 Å, rel. 100.0, hkl 2 0 5; d = 2.285 Å, rel. 17.1, hkl 2 1 1; d = 2.245 Å, rel. 27.5, hkl 0 0 9; d = 1.756 Å, rel. 32.5, hkl 2 2 0; d = 1.684 Å, rel. 21.6, hkl 0 0 12; d = 1.557 Å, rel. 25.3, hkl 2 2 6; d = 1.517 Å, rel. 18.7, hkl 4 0 1


# AlMo2Pt
Simulated powder XRD pattern, Cu Kα. Input: the PBE geometry in Alexandria.

Cell and atoms:
```
data_AlMo2Pt
_chemical_formula_sum 'Al1 Mo2 Pt1'
_cell_length_a 2.734
_cell_length_b 2.734
_cell_length_c 8.238
_cell_angle_alpha 90.00
_cell_angle_beta 90.00
_cell_angle_gamma 90.00
_symmetry_space_group_name_H-M 'P 4 m m'
_symmetry_Int_Tables_number 99
loop_
_symmetry_equiv_pos_as_xyz
'x,y,z'
'-y,x,z'
'-x,-y,z'
'y,-x,z'
'-x,y,z'
'y,x,z'
'x,-y,z'
'-y,-x,z'
loop_
_atom_site_label
_atom_site_type_symbol
_atom_site_fract_x
_atom_site_fract_y
_atom_site_fract_z
Al1 Al 0.000 0.000 0.000
Mo1 Mo 0.000 0.000 0.523
Mo2 Mo 0.500 0.500 0.249
Pt1 Pt 0.500 0.500 0.773
```

Main lines, in order of rising 2θ (2θ = 10–90°):
d = 8.238 Å, rel. 40.1, hkl 0 0 1; d = 4.119 Å, rel. 18.1, hkl 0 0 2; d = 2.734 Å, rel. 13.4, hkl 1 0 0; d = 2.595 Å, rel. 13.5, hkl 1 0 1; d = 2.278 Å, rel. 100.0, hkl 1 0 2; d = 2.060 Å, rel. 17.4, hkl 0 0 4; d = 1.933 Å, rel. 30.9, hkl 1 1 0; d = 1.410 Å, rel. 24.5, hkl 1 1 4; d = 1.227 Å, rel. 11.7, hkl 1 0 6; d = 1.172 Å, rel. 24.1, hkl 2 1 2